(1)
The following is a theoretical X-ray powder pattern of YCo5Si3. It was derived from the GGA-PBE geometry in the Materials Project, using Cu Kα (λ = 1.5418 Å).

Atomic structure:
Cell lengths 14.6948, 14.6948, 3.6893 Å; angles 90.00, 90.00, 120.00 degrees
Positions (direct):
Y 0.0999 0.3931 0.2500
Y 0.2932 0.9001 0.2500
Y 0.3931 0.2932 0.7500
Y 0.6069 0.7068 0.2500
Y 0.7068 0.0999 0.7500
Y 0.9001 0.6069 0.7500
Co 0.0291 0.1261 0.2500
Co 0.0481 0.7816 0.2500
Co 0.0741 0.5406 0.7500
Co 0.0970 0.9709 0.2500
Co 0.1261 0.0970 0.7500
Co 0.1475 0.7346 0.7500
Co 0.2184 0.2665 0.2500
Co 0.2260 0.6533 0.2500
Co 0.2654 0.4129 0.7500
Co 0.2665 0.0481 0.7500
Co 0.3467 0.5727 0.2500
Co 0.4129 0.1475 0.2500
Co 0.4273 0.7740 0.2500
Co 0.4594 0.5335 0.7500
Co 0.4665 0.9259 0.7500
Co 0.5335 0.0741 0.2500
Co 0.5406 0.4665 0.2500
Co 0.5727 0.2260 0.7500
Co 0.5871 0.8525 0.7500
Co 0.6533 0.4273 0.7500
Co 0.7335 0.9519 0.2500
Co 0.7346 0.5871 0.2500
Co 0.7740 0.3467 0.7500
Co 0.7816 0.7335 0.7500
Co 0.8525 0.2654 0.2500
Co 0.8739 0.9030 0.2500
Co 0.9030 0.0291 0.7500
Co 0.9259 0.4594 0.2500
Co 0.9519 0.2184 0.7500
Co 0.9709 0.8739 0.7500
Si 0.0629 0.6310 0.2500
Si 0.1180 0.2465 0.7500
Si 0.1285 0.8820 0.7500
Si 0.2386 0.5570 0.7500
Si 0.2465 0.1285 0.2500
Si 0.3185 0.7614 0.7500
Si 0.3690 0.4319 0.2500
Si 0.4319 0.0629 0.7500
Si 0.4430 0.6815 0.7500
Si 0.5570 0.3185 0.2500
Si 0.5681 0.9371 0.2500
Si 0.6310 0.5681 0.7500
Si 0.6815 0.2386 0.2500
Si 0.7535 0.8715 0.7500
Si 0.7614 0.4430 0.2500
Si 0.8715 0.1180 0.2500
Si 0.8820 0.7535 0.2500
Si 0.9371 0.3690 0.7500

The 8 most intense peaks (2θ from 15° to 90°), low angle first:
d [Å]	two_theta	Rel. int.
2.923	30.58	17.4
2.408	37.35	16.2
2.289	39.36	100.0
2.121	42.63	11.9
2.038	44.45	10.6
1.845	49.41	24.3
1.839	49.58	11.7
1.686	54.43	13.9

***

(2)
The following is a theoretical X-ray powder pattern of YCo9Si2. It was derived from the GGA-PBE geometry in the Materials Project, using Cu Kα (λ = 1.5418 Å).

Atomic structure:
Cell lengths 7.5061, 7.5061, 7.5061 Å; angles 100.00, 100.00, 130.75 degrees
Positions (direct):
Y 0.3750 0.6250 0.7500
Y 0.6250 0.3750 0.2500
Co 0.1250 0.8750 0.2500
Co 0.1391 0.5597 0.3321
Co 0.1391 0.8070 0.5794
Co 0.1930 0.2724 0.3321
Co 0.1930 0.8609 0.9206
Co 0.2724 0.1930 0.8321
Co 0.2724 0.4403 0.0794
Co 0.4403 0.2724 0.5794
Co 0.4403 0.8609 0.1679
Co 0.5597 0.1391 0.8321
Co 0.5597 0.7276 0.4206
Co 0.7276 0.5597 0.9206
Co 0.7276 0.8070 0.1679
Co 0.8070 0.1391 0.0794
Co 0.8070 0.7276 0.6679
Co 0.8609 0.1930 0.4206
Co 0.8609 0.4403 0.6679
Co 0.8750 0.1250 0.7500
Si 0.0000 0.0000 0.0000
Si 0.0000 0.0000 0.5000
Si 0.0000 0.5000 0.0000
Si 0.5000 0.0000 0.5000

The 8 most intense peaks (2θ from 15° to 90°), low angle first:
d [Å]	two_theta	Rel. int.
2.461	36.52	21.5
2.184	41.34	100.0
2.158	41.87	79.0
2.038	44.45	28.0
1.910	47.60	22.9
1.844	49.42	63.0
1.776	51.45	24.1
1.251	76.10	26.3

***

(3)
The following is a theoretical X-ray powder pattern of YCoSi2. It was derived from the GGA-PBE geometry in the Materials Project, using Cu Kα (λ = 1.5418 Å).

Atomic structure:
Cell lengths 8.2697, 8.2697, 4.0181 Å; angles 90.00, 90.00, 151.70 degrees
Positions (direct):
Y 0.1060 0.8940 0.7500
Y 0.8940 0.1060 0.2500
Co 0.3191 0.6809 0.7500
Co 0.6809 0.3191 0.2500
Si 0.2508 0.7492 0.2500
Si 0.4575 0.5425 0.7500
Si 0.5425 0.4575 0.2500
Si 0.7492 0.2508 0.7500

The 8 most intense peaks (2θ from 15° to 90°), low angle first:
d [Å]	two_theta	Rel. int.
2.838	31.52	17.5
2.806	31.89	47.2
2.514	35.72	100.0
2.226	40.53	23.5
2.021	44.84	23.4
2.009	45.13	22.9
1.569	58.85	20.0
1.425	65.50	14.4

***

(4)
The following is a theoretical X-ray powder pattern of Zr3Co8Si. It was derived from the GGA-PBE geometry in the Materials Project, using Cu Kα (λ = 1.5418 Å).

Atomic structure:
Cell lengths 8.2559, 8.2559, 8.2559 Å; angles 34.19, 34.19, 34.19 degrees
Positions (direct):
Zr 0.0000 0.0000 0.0000
Zr 0.1285 0.1285 0.1285
Zr 0.6131 0.6131 0.6131
Co 0.0604 0.0604 0.5618
Co 0.0604 0.5618 0.0604
Co 0.0622 0.5623 0.5623
Co 0.3123 0.3123 0.3123
Co 0.5618 0.0604 0.0604
Co 0.5623 0.0622 0.5623
Co 0.5623 0.5623 0.0622
Co 0.8128 0.8128 0.8128
Si 0.4846 0.4846 0.4846

The 8 most intense peaks (2θ from 15° to 90°), low angle first:
d [Å]	two_theta	Rel. int.
2.427	37.04	38.2
2.394	37.57	32.2
2.068	43.76	54.4
2.058	44.00	100.0
2.038	44.46	48.3
1.977	45.90	55.0
1.318	71.59	21.5
1.214	78.88	25.4